No. 1
Structure and theoretical powder XRD pattern of Na3LiCoTeO6 (a DFT-relaxed cell (PBE+U, OQMD); a wavelength of 1.5418 Å).
No peak broadening, texture or thermal motion is included.

Structure:
abc: 5.351 9.231 5.587
angles: 90.00 108.83 90.00
Space group C2 (No. 5)
Inequivalent atoms, fractional coordinates:
Na1 0.000 0.000 0.000
Na2 0.000 0.319 0.000
Na3 0.000 0.673 0.000
Li1 0.000 0.163 0.500
Co1 0.000 0.832 0.500
Te1 0.000 0.497 0.500
O1 0.216 0.652 0.708
O2 0.226 0.345 0.708
O3 0.235 0.493 0.293

Main lines, in order of falling intensity (2θ = 10–80°):
40.8°, d = 2.211 Å, I 100, (1 3 1)
16.8°, d = 5.288 Å, I 85, (0 0 1)
20.0°, d = 4.440 Å, I 63, (1 1 0)
40.6°, d = 2.222 Å, I 57, (2 0 -2)
35.5°, d = 2.531 Å, I 52, (2 0 0)
22.2°, d = 4.004 Å, I 51, (1 1 -1)

=====

No. 2
Structure and theoretical powder XRD pattern of NaLi3CoTeO6 (a DFT-relaxed cell (PBE+U, OQMD); a wavelength of 1.5418 Å).
No peak broadening, texture or thermal motion is included.

Structure:
abc: 5.289 8.993 5.240
angles: 90.00 107.42 90.00
Space group C2 (No. 5)
Inequivalent atoms, fractional coordinates:
Na1 0.000 0.000 0.000
Li1 0.000 0.164 0.500
Li2 0.000 0.332 0.000
Li3 0.000 0.662 0.000
Co1 0.000 0.829 0.500
Te1 0.000 0.494 0.500
O1 0.206 0.653 0.727
O2 0.217 0.338 0.723
O3 0.236 0.491 0.279

Main lines, in order of falling intensity (2θ = 10–80°):
17.7°, d = 5.000 Å, I 100, (0 0 1)
41.8°, d = 2.160 Å, I 71, (1 3 1)
23.2°, d = 3.837 Å, I 54, (1 1 -1)
20.2°, d = 4.401 Å, I 46, (1 1 0)
19.7°, d = 4.496 Å, I 42, (0 2 0)
42.6°, d = 2.122 Å, I 34, (2 0 -2)

=====

No. 3
Structure and theoretical powder XRD pattern of Na3LiCoTeO6 (a DFT-relaxed cell (PBE+U, OQMD); a wavelength of 1.5418 Å).
No peak broadening, texture or thermal motion is included.

Structure:
abc: 5.426 9.380 5.582
angles: 90.00 111.99 90.00
Space group C2 (No. 5)
Inequivalent atoms, fractional coordinates:
Na1 0.000 0.000 0.000
Na2 0.000 0.150 0.500
Na3 0.000 0.506 0.500
Li1 0.000 0.829 0.500
Co1 0.000 0.668 0.000
Te1 0.000 0.332 0.000
O1 0.216 0.484 0.222
O2 0.221 0.320 0.792
O3 0.249 0.692 0.772

Main lines, in order of falling intensity (2θ = 10–80°):
17.1°, d = 5.176 Å, I 100, (0 0 1)
41.2°, d = 2.193 Å, I 82, (1 3 1)
20.0°, d = 4.434 Å, I 56, (1 1 0)
39.5°, d = 2.280 Å, I 46, (2 0 -2)
59.1°, d = 1.564 Å, I 35, (3 3 -1)
25.6°, d = 3.475 Å, I 34, (0 2 1)